The following is a computed powder diffractogram of ThBiPd6. It was derived from DFT lattice parameters and positions (PBE), using Cu Kα (weighted mean of Kα1 and Kα2).

Structural model:
a = 8.563 Å, b = 5.512 Å, c = 7.357 Å
α = 90.00°, β = 108.55°, γ = 90.00°
Element x y z (fractional)
Th  0.000  0.000  0.000
Th  0.500  0.500  0.000
Bi  0.000  0.500  0.500
Bi  0.500  0.000  0.500
Pd  0.145  0.000  0.440
Pd  0.202  0.242  0.802
Pd  0.202  0.758  0.802
Pd  0.298  0.258  0.198
Pd  0.298  0.742  0.198
Pd  0.355  0.500  0.560
Pd  0.645  0.500  0.440
Pd  0.702  0.258  0.802
Pd  0.702  0.742  0.802
Pd  0.798  0.242  0.198
Pd  0.798  0.758  0.198
Pd  0.855  0.000  0.560

Peak list (6 most intense, 10 to 80 degrees two-theta, in order of rising 2θ)
Position (°2θ)  I/Imax  index
21.29  78  1 1 -1
35.49  78  3 1 -1
39.04  65  2 0 2
39.52  72  2 2 0
40.27  37  1 1 -3
41.77  100  0 2 2

=====

The following is a computed powder diffractogram of NaLaAs2. It was derived from DFT lattice parameters and positions (PBE), using Cu Kα (weighted mean of Kα1 and Kα2).

Structural model:
a = 7.307 Å, b = 7.307 Å, c = 7.307 Å
α = 90.00°, β = 90.00°, γ = 90.00°
Element x y z (fractional)
Na  0.000  0.000  0.000
Na  0.000  0.500  0.500
Na  0.500  0.000  0.500
Na  0.500  0.500  0.000
La  0.000  0.000  0.500
La  0.000  0.500  0.000
La  0.500  0.000  0.000
La  0.500  0.500  0.500
As  0.250  0.250  0.250
As  0.250  0.250  0.750
As  0.250  0.750  0.250
As  0.250  0.750  0.750
As  0.750  0.250  0.250
As  0.750  0.250  0.750
As  0.750  0.750  0.250
As  0.750  0.750  0.750

Peak list (6 most intense, 10 to 80 degrees two-theta, in order of rising 2θ)
Position (°2θ)  I/Imax  index
21.06  30  1 1 1
34.72  100  2 2 0
40.96  16  3 1 1
49.92  18  4 0 0
62.24  36  4 2 2
73.29  11  4 4 0

=====

The following is a computed powder diffractogram of MgTc2As. It was derived from DFT lattice parameters and positions (PBE), using Cu Kα (weighted mean of Kα1 and Kα2).

Structural model:
a = 2.951 Å, b = 4.360 Å, c = 5.087 Å
α = 90.00°, β = 106.51°, γ = 90.00°
Element x y z (fractional)
Mg  0.000  0.000  0.000
Tc  0.263  0.000  0.521
Tc  0.675  0.500  0.334
As  0.397  0.500  0.786

Peak list (6 most intense, 10 to 80 degrees two-theta, in order of rising 2θ)
Position (°2θ)  I/Imax  index
18.19  52  0 0 1
37.95  100  1 1 -1
41.42  68  0 2 0
42.47  81  0 1 2
46.36  29  1 1 1
46.60  27  1 1 -2

=====

Q: Which formula does entry 1 have?
A: ThBiPd6